(1)
For RbGa2NiN, a structure optimized by DFT (GGA-PBE) gives the calculated X-ray diffraction stick pattern in this record (CuKα).
Intensities are scaled so that the largest is 1000.

Cell and atoms:
Unit cell a=4.517 b=4.517 c=6.520 alpha=90.00 beta=90.00 gamma=90.00
Space group P4/mmm (No. 123)
Unique sites:
1 Rb 0.000 0.000 0.000 [1 per cell]
2 Ga 0.000 0.500 0.500 [2 per cell]
3 Ni 0.000 0.000 0.500 [1 per cell]
4 N 0.500 0.500 0.000 [1 per cell]

Most intense lines, 15 to 90 degrees two-theta, by angle:
d = 4.517 Å, 19.7 deg, I 858, (1 0 0); d = 3.260 Å, 27.4 deg, I 1000, (0 0 2); d = 2.868 Å, 31.2 deg, I 958, (1 1 1); d = 2.643 Å, 33.9 deg, I 440, (1 0 2); d = 2.259 Å, 39.9 deg, I 709, (2 0 0); d = 1.857 Å, 49.1 deg, I 761, (2 0 2); d = 1.797 Å, 50.8 deg, I 232, (1 1 3); d = 1.717 Å, 53.4 deg, I 238, (2 1 2); d = 1.434 Å, 65.0 deg, I 313, (2 2 2); d = 1.322 Å, 71.4 deg, I 235, (2 0 4)

(2)
For PmTm2Mg5, a structure optimized by DFT (GGA-PBE) gives the calculated X-ray diffraction stick pattern in this record (CuKα).
Intensities are scaled so that the largest is 1000.

Cell and atoms:
Unit cell a=5.243 b=5.243 c=15.122 alpha=90.00 beta=90.00 gamma=90.00
Space group I4/mmm (No. 139)
Unique sites:
1 Pm 0.000 0.000 0.000 [2 per cell]
2 Tm 0.000 0.000 0.257 [4 per cell]
3 Mg 0.000 0.000 0.500 [2 per cell]
4 Mg 0.000 0.500 0.123 [8 per cell]

Most intense lines, 15 to 90 degrees two-theta, by angle:
d = 4.953 Å, 17.9 deg, I 148, (1 0 1); d = 3.780 Å, 23.5 deg, I 273, (0 0 4); d = 3.707 Å, 24.0 deg, I 531, (1 1 0); d = 3.634 Å, 24.5 deg, I 165, (1 0 3); d = 2.647 Å, 33.9 deg, I 1000, (1 1 4); d = 2.621 Å, 34.2 deg, I 502, (2 0 0); d = 2.154 Å, 41.9 deg, I 243, (2 0 4); d = 1.854 Å, 49.2 deg, I 182, (2 2 0); d = 1.533 Å, 60.4 deg, I 179, (2 0 8); d = 1.518 Å, 61.0 deg, I 363, (3 1 4)

(3)
For KTl8Hg4, a structure optimized by DFT (GGA-PBE) gives the calculated X-ray diffraction stick pattern in this record (CuKα).
Intensities are scaled so that the largest is 1000.

Cell and atoms:
Unit cell a=12.338 b=12.338 c=12.338 alpha=90.00 beta=90.00 gamma=90.00
Space group F-43m (No. 216)
Unique sites:
1 K 0.000 0.000 0.000 [4 per cell]
2 Tl 0.149 0.149 0.351 [16 per cell]
3 Tl 0.152 0.152 0.848 [16 per cell]
4 Hg 0.099 0.099 0.599 [16 per cell]

Most intense lines, 15 to 90 degrees two-theta, by angle:
d = 3.720 Å, 23.9 deg, I 157, (3 1 1); d = 3.562 Å, 25.0 deg, I 222, (2 2 2); d = 3.085 Å, 28.9 deg, I 880, (4 0 0); d = 2.518 Å, 35.6 deg, I 1000, (4 2 2); d = 2.374 Å, 37.9 deg, I 257, (3 3 3); d = 2.181 Å, 41.4 deg, I 479, (4 4 0); d = 1.649 Å, 55.8 deg, I 292, (6 4 2); d = 1.454 Å, 64.0 deg, I 623, (8 2 2); d = 1.315 Å, 71.8 deg, I 143, (6 6 4); d = 1.210 Å, 79.2 deg, I 225, (8 6 2)

(4)
For PmZr2Ir9, a structure optimized by DFT (GGA-PBE) gives the calculated X-ray diffraction stick pattern in this record (CuKα).
Intensities are scaled so that the largest is 1000.

Cell and atoms:
Unit cell a=5.2694 b=5.2694 c=26.0086 alpha=90.00 beta=90.00 gamma=120.00
Space group R-3m (No. 166, hexagonal axes)
Unique sites:
1 Pm 0.0000 0.0000 0.0000 [3 per cell]
2 Zr 0.0000 0.0000 0.1392 [6 per cell]
3 Ir 0.0000 0.0000 0.3341 [6 per cell]
4 Ir 0.0000 0.0000 0.5000 [3 per cell]
5 Ir 0.0026 0.5013 0.9156 [18 per cell]

Most intense lines, 15 to 90 degrees two-theta, by angle:
d = 4.495 Å, 19.8 deg, I 335, (1 0 1); d = 2.273 Å, 39.7 deg, I 236, (0 2 1); d = 2.251 Å, 40.1 deg, I 1000, (1 1 6); d = 2.167 Å, 41.7 deg, I 282, (0 0 12); d = 2.099 Å, 43.1 deg, I 133, (0 1 11); d = 2.090 Å, 43.3 deg, I 408, (2 0 5); d = 1.945 Å, 46.7 deg, I 244, (0 2 7); d = 1.435 Å, 65.0 deg, I 210, (0 3 6); d = 1.317 Å, 71.6 deg, I 231, (2 2 0); d = 1.126 Å, 86.4 deg, I 220, (2 2 12)

(5)
For MgCu2Ag2Pd5, a structure optimized by DFT (GGA-PBE) gives the calculated X-ray diffraction stick pattern in this record (CuKα).
Intensities are scaled so that the largest is 1000.

Cell and atoms:
Unit cell a=8.929 b=8.929 c=4.043 alpha=90.00 beta=90.00 gamma=90.00
Space group P4/mbm (No. 127)
Unique sites:
1 Mg 0.000 0.000 0.000 [2 per cell]
2 Cu 0.122 0.378 0.000 [4 per cell]
3 Ag 0.173 0.673 0.000 [4 per cell]
4 Pd 0.000 0.500 0.500 [2 per cell]
5 Pd 0.077 0.201 0.500 [8 per cell]

Most intense lines, 15 to 90 degrees two-theta, by angle:
d = 2.841 Å, 31.5 deg, I 284, (2 1 1); d = 2.315 Å, 38.9 deg, I 1000, (3 1 1); d = 2.165 Å, 41.7 deg, I 470, (4 1 0); d = 2.112 Å, 42.8 deg, I 480, (3 2 1); d = 2.104 Å, 43.0 deg, I 152, (3 3 0); d = 2.021 Å, 44.8 deg, I 353, (0 0 2); d = 1.996 Å, 45.4 deg, I 120, (4 2 0); d = 1.954 Å, 46.5 deg, I 124, (4 0 1); d = 1.478 Å, 62.9 deg, I 267, (4 1 2); d = 1.333 Å, 70.7 deg, I 139, (6 2 1)

(6)
For LaNd2Hg2, a structure optimized by DFT (GGA-PBE) gives the calculated X-ray diffraction stick pattern in this record (CuKα).
Intensities are scaled so that the largest is 1000.

Cell and atoms:
Unit cell a=3.877 b=5.551 c=14.229 alpha=90.00 beta=97.86 gamma=90.00
Space group P2_1/m (No. 11)
Unique sites:
1 La 0.146 0.250 0.289 [2 per cell]
2 Nd 0.048 0.750 0.096 [2 per cell]
3 Nd 0.235 0.750 0.472 [2 per cell]
4 Hg 0.356 0.250 0.712 [2 per cell]
5 Hg 0.453 0.750 0.907 [2 per cell]

Most intense lines, 15 to 90 degrees two-theta, by angle:
d = 2.819 Å, 31.7 deg, I 178, (0 0 5); d = 2.770 Å, 32.3 deg, I 1000, (0 2 0); d = 1.978 Å, 45.9 deg, I 130, (0 2 5); d = 1.939 Å, 46.9 deg, I 75, (2 0 -1); d = 1.618 Å, 56.9 deg, I 107, (1 1 -8); d = 1.601 Å, 57.6 deg, I 155, (1 3 2); d = 1.597 Å, 57.7 deg, I 66, (2 0 -6); d = 1.589 Å, 58.0 deg, I 79, (2 2 -1); d = 1.248 Å, 76.3 deg, I 49, (1 3 -8); d = 1.228 Å, 77.7 deg, I 65, (3 1 -4)

(7)
For TiSn4O10, a structure optimized by DFT (GGA-PBE) gives the calculated X-ray diffraction stick pattern in this record (CuKα).
Intensities are scaled so that the largest is 1000.

Cell and atoms:
Unit cell a=4.798 b=5.756 c=13.549 alpha=78.77 beta=89.96 gamma=89.95
Space group P-1 (No. 2)
Unique sites:
1 Ti 0.001 0.398 0.301 [2 per cell]
2 Sn 0.000 0.000 0.500 [1 per cell]
3 Sn 0.000 0.204 0.898 [2 per cell]
4 Sn 0.498 0.300 0.103 [2 per cell]
5 Sn 0.500 0.102 0.699 [2 per cell]
6 Sn 0.500 0.500 0.500 [1 per cell]
7 O 0.189 0.324 0.434 [2 per cell]
8 O 0.190 0.701 0.244 [2 per cell]
9 O 0.190 0.904 0.642 [2 per cell]
10 O 0.191 0.118 0.040 [2 per cell]
11 O 0.191 0.526 0.832 [2 per cell]
12 O 0.293 0.215 0.241 [2 per cell]
13 O 0.293 0.417 0.638 [2 per cell]
14 O 0.307 0.617 0.039 [2 per cell]
15 O 0.312 0.822 0.441 [2 per cell]
16 O 0.313 0.023 0.839 [2 per cell]

Most intense lines, 15 to 90 degrees two-theta, by angle:
d = 3.389 Å, 26.3 deg, I 1000, (1 1 2); d = 2.659 Å, 33.7 deg, I 777, (0 0 5); d = 2.396 Å, 37.5 deg, I 216, (2 0 0); d = 1.780 Å, 51.3 deg, I 690, (1 3 1); d = 1.693 Å, 54.2 deg, I 87, (-2 2 4); d = 1.445 Å, 64.5 deg, I 163, (1 3 -4); d = 1.430 Å, 65.2 deg, I 108, (3 1 -3); d = 1.428 Å, 65.4 deg, I 107, (0 4 3); d = 1.228 Å, 77.8 deg, I 105, (2 4 3); d = 1.162 Å, 83.1 deg, I 102, (2 -4 2)

(8)
For K3MnCu2Cl8, a structure optimized by DFT (GGA-PBE) gives the calculated X-ray diffraction stick pattern in this record (CuKα).
Intensities are scaled so that the largest is 1000.

Cell and atoms:
Unit cell a=6.9799 b=6.9799 c=8.9583 alpha=90.00 beta=90.00 gamma=120.00
Space group P-3m1 (No. 164)
Unique sites:
1 K 0.0000 0.0000 0.0000 [1 per cell]
2 K 0.3333 0.6667 0.6288 [2 per cell]
3 Mn 0.0000 0.0000 0.5000 [1 per cell]
4 Cu 0.3333 0.6667 0.2063 [2 per cell]
5 Cl 0.1633 0.3267 0.3356 [6 per cell]
6 Cl 0.3333 0.6667 0.9637 [2 per cell]

Most intense lines, 15 to 90 degrees two-theta, by angle:
d = 5.011 Å, 17.7 deg, I 676, (1 0 1); d = 3.599 Å, 24.7 deg, I 291, (0 1 2); d = 3.490 Å, 25.5 deg, I 1000, (1 1 0); d = 3.022 Å, 29.6 deg, I 168, (2 0 0); d = 2.677 Å, 33.5 deg, I 261, (1 0 3); d = 2.505 Å, 35.8 deg, I 807, (2 0 2); d = 2.124 Å, 42.6 deg, I 216, (2 0 3); d = 2.015 Å, 45.0 deg, I 197, (3 0 0); d = 1.799 Å, 50.7 deg, I 310, (0 2 4); d = 1.745 Å, 52.4 deg, I 416, (2 2 0)